CeAl4Pd2Au: calculated PXRD pattern (copper Kα), based on a crystal structure in Alexandria, relaxed with GGA-PBE.

Principal peaks in the range 10 to 80 degrees two-theta, low angle first:
2θ = 27.2°, intensity 100
2θ = 35.6°, intensity 89
2θ = 39.5°, intensity 15
2θ = 42.0°, intensity 67
2θ = 50.8°, intensity 18
2θ = 56.2°, intensity 24
2θ = 59.0°, intensity 28
2θ = 59.4°, intensity 14
2θ = 67.9°, intensity 15
2θ = 72.5°, intensity 22

Structural model:
```
8
Lattice="2.153 1.243 9.128 -2.153 1.243 9.128 0.000 -2.486 9.128" Properties=species:S:1:pos:R:3 pbc="T T T"
Ce 0.000 0.000 0.000
Al 0.000 0.000 3.447
Al 0.000 0.000 11.014
Al 0.000 0.000 16.372
Al 0.000 0.000 23.938
Pd 0.000 0.000 6.657
Pd 0.000 0.000 20.728
Au 0.000 0.000 13.693
```